1.
Structure and simulated powder X-ray diffraction pattern of Te2Mo3WSe2S4 (a PBE-relaxed structure; CuKα).
Neutral-atom scattering factors, no anomalous dispersion.

Atomic structure:
abc: 3.3055 3.3055 37.6491
angles: 90.00 90.00 120.00
Element x y z (fractional)
Te: 0.0000 0.0000 0.0000
Te: 0.0000 0.0000 0.1017
Mo: 0.0000 0.0000 0.8630
Mo: 0.6667 0.3333 0.0508
Mo: 0.6667 0.3333 0.6751
W: 0.0000 0.0000 0.2388
Se: 0.0000 0.0000 0.6304
Se: 0.0000 0.0000 0.7198
S: 0.6667 0.3333 0.1980
S: 0.6667 0.3333 0.2795
S: 0.6667 0.3333 0.8224
S: 0.6667 0.3333 0.9035

Most intense lines, 10° ≤ 2θ ≤ 80°, sorted by position:
index	2θ (°)	I/Imax
0 0 5	11.75	1000
0 0 8	18.86	152
1 0 0	31.26	561
1 0 8	36.75	908
0 1 13	44.50	457
1 1 0	55.62	294


2.
Structure and simulated powder X-ray diffraction pattern of TeMoWSe2S (a PBE-relaxed structure; CuKα).
Neutral-atom scattering factors, no anomalous dispersion.

Atomic structure:
abc: 3.3412 3.3412 38.0646
angles: 90.00 90.00 120.00
Element x y z (fractional)
Te: 0.0000 0.0000 0.0000
Te: 0.0000 0.0000 0.0996
Mo: 0.6667 0.3333 0.0498
Mo: 0.6667 0.3333 0.4256
W: 0.0000 0.0000 0.2377
W: 0.0000 0.0000 0.6135
Se: 0.0000 0.0000 0.3818
Se: 0.0000 0.0000 0.4694
Se: 0.6667 0.3333 0.1938
Se: 0.6667 0.3333 0.2817
S: 0.6667 0.3333 0.5735
S: 0.6667 0.3333 0.6535

Most intense lines, 10° ≤ 2θ ≤ 80°, sorted by position:
index	2θ (°)	I/Imax
0 0 5	11.62	1000
0 0 6	13.96	208
1 0 0	30.92	453
1 0 8	36.34	829
0 1 13	44.00	476
1 1 0	54.97	289


3.
Structure and simulated powder X-ray diffraction pattern of Te2MoW3Se4S2 (a PBE-relaxed structure; CuKα).
Neutral-atom scattering factors, no anomalous dispersion.

Atomic structure:
abc: 3.3430 3.3430 38.1242
angles: 90.00 90.00 120.00
Element x y z (fractional)
Te: 0.0000 0.0000 0.0000
Te: 0.0000 0.0000 0.1001
Mo: 0.0000 0.0000 0.8622
W: 0.0000 0.0000 0.2380
W: 0.6667 0.3333 0.0500
W: 0.6667 0.3333 0.6743
Se: 0.6667 0.3333 0.1940
Se: 0.6667 0.3333 0.2818
Se: 0.6667 0.3333 0.8184
Se: 0.6667 0.3333 0.9058
S: 0.0000 0.0000 0.6343
S: 0.0000 0.0000 0.7143

Most intense lines, 10° ≤ 2θ ≤ 80°, sorted by position:
index	2θ (°)	I/Imax
0 0 5	11.61	1000
1 0 0	30.91	416
1 0 5	33.10	152
1 0 8	36.31	774
0 1 13	43.95	449
1 1 0	54.94	287


4.
Structure and simulated powder X-ray diffraction pattern of Te2MoW3Se2S4 (a PBE-relaxed structure; CuKα).
Neutral-atom scattering factors, no anomalous dispersion.

Atomic structure:
abc: 3.3066 3.3066 37.6900
angles: 90.00 90.00 120.00
Element x y z (fractional)
Te: 0.0000 0.0000 0.0000
Te: 0.0000 0.0000 0.1021
Mo: 0.6667 0.3333 0.6753
W: 0.0000 0.0000 0.2389
W: 0.0000 0.0000 0.8631
W: 0.6667 0.3333 0.0510
Se: 0.0000 0.0000 0.6307
Se: 0.0000 0.0000 0.7199
S: 0.6667 0.3333 0.1982
S: 0.6667 0.3333 0.2796
S: 0.6667 0.3333 0.8224
S: 0.6667 0.3333 0.9038

Most intense lines, 10° ≤ 2θ ≤ 80°, sorted by position:
index	2θ (°)	I/Imax
0 0 5	11.74	1000
0 0 6	14.10	203
1 0 0	31.26	415
1 0 8	36.73	746
0 1 13	44.47	384
1 1 0	55.60	255


5.
Structure and simulated powder X-ray diffraction pattern of Te2Mo3WSe2S4 (a PBE-relaxed structure; CuKα).
Neutral-atom scattering factors, no anomalous dispersion.

Atomic structure:
abc: 3.3085 3.3085 37.5749
angles: 90.00 90.00 120.00
Element x y z (fractional)
Te: 0.0000 0.0000 0.0000
Te: 0.0000 0.0000 0.1018
Mo: 0.0000 0.0000 0.2388
Mo: 0.6667 0.3333 0.0509
Mo: 0.6667 0.3333 0.4266
W: 0.0000 0.0000 0.6145
Se: 0.6667 0.3333 0.5696
Se: 0.6667 0.3333 0.6594
S: 0.0000 0.0000 0.3860
S: 0.0000 0.0000 0.4673
S: 0.6667 0.3333 0.1982
S: 0.6667 0.3333 0.2794

Most intense lines, 10° ≤ 2θ ≤ 80°, sorted by position:
index	2θ (°)	I/Imax
0 0 5	11.78	1000
1 0 0	31.23	402
0 1 8	36.74	866
1 0 10	39.55	257
1 0 13	44.53	429
1 1 0	55.55	248


6.
Structure and simulated powder X-ray diffraction pattern of Te2Mo3WSe2S4 (a PBE-relaxed structure; CuKα).
Neutral-atom scattering factors, no anomalous dispersion.

Atomic structure:
abc: 3.3055 3.3055 37.5676
angles: 90.00 90.00 120.00
Element x y z (fractional)
Te: 0.0000 0.0000 0.0000
Te: 0.0000 0.0000 0.1017
Mo: 0.0000 0.0000 0.4872
Mo: 0.3333 0.6667 0.0508
Mo: 0.3333 0.6667 0.6751
W: 0.0000 0.0000 0.8629
Se: 0.3333 0.6667 0.4425
Se: 0.3333 0.6667 0.5318
S: 0.0000 0.0000 0.6344
S: 0.0000 0.0000 0.7158
S: 0.3333 0.6667 0.8221
S: 0.3333 0.6667 0.9037

Most intense lines, 10° ≤ 2θ ≤ 80°, sorted by position:
index	2θ (°)	I/Imax
0 0 5	11.78	1000
0 0 6	14.15	237
1 0 0	31.28	512
0 1 8	36.77	834
1 0 13	44.55	428
1 1 0	55.61	261


7.
Structure and simulated powder X-ray diffraction pattern of Te2MoWSeS (a PBE-relaxed structure; CuKα).
Neutral-atom scattering factors, no anomalous dispersion.

Atomic structure:
abc: 3.3982 3.3982 38.7105
angles: 90.00 90.00 120.00
Element x y z (fractional)
Te: 0.0000 0.0000 0.0000
Te: 0.0000 0.0000 0.0974
Te: 0.3333 0.6667 0.4367
Te: 0.3333 0.6667 0.5334
Mo: 0.0000 0.0000 0.4851
Mo: 0.0000 0.0000 0.8608
W: 0.3333 0.6667 0.0487
W: 0.3333 0.6667 0.6730
Se: 0.0000 0.0000 0.6302
Se: 0.0000 0.0000 0.7158
S: 0.3333 0.6667 0.8220
S: 0.3333 0.6667 0.8997

Most intense lines, 10° ≤ 2θ ≤ 80°, sorted by position:
index	2θ (°)	I/Imax
0 0 5	11.43	1000
1 0 0	30.39	461
0 1 8	35.71	942
0 1 10	38.42	223
1 0 13	43.22	513
1 1 0	53.97	304


8.
Structure and simulated powder X-ray diffraction pattern of TeMoWSe2S (a PBE-relaxed structure; CuKα).
Neutral-atom scattering factors, no anomalous dispersion.

Atomic structure:
abc: 3.3467 3.3467 38.0490
angles: 90.00 90.00 120.00
Element x y z (fractional)
Te: 0.0000 0.0000 0.0000
Te: 0.0000 0.0000 0.1002
Mo: 0.0000 0.0000 0.4865
Mo: 0.0000 0.0000 0.8622
W: 0.3333 0.6667 0.0501
W: 0.3333 0.6667 0.6744
Se: 0.0000 0.0000 0.6303
Se: 0.0000 0.0000 0.7184
Se: 0.3333 0.6667 0.4427
Se: 0.3333 0.6667 0.5302
S: 0.3333 0.6667 0.8224
S: 0.3333 0.6667 0.9020

Most intense lines, 10° ≤ 2θ ≤ 80°, sorted by position:
index	2θ (°)	I/Imax
0 0 5	11.63	1000
0 0 6	13.97	195
1 0 0	30.87	377
0 1 8	36.30	813
1 0 13	43.97	462
1 1 0	54.87	268


9.
Structure and simulated powder X-ray diffraction pattern of Te2Mo3WSe2S4 (a PBE-relaxed structure; CuKα).
Neutral-atom scattering factors, no anomalous dispersion.

Atomic structure:
abc: 3.3107 3.3107 37.6158
angles: 90.00 90.00 120.00
Element x y z (fractional)
Te: 0.0000 0.0000 0.0000
Te: 0.0000 0.0000 0.1023
Mo: 0.0000 0.0000 0.4875
Mo: 0.0000 0.0000 0.8633
Mo: 0.3333 0.6667 0.6754
W: 0.3333 0.6667 0.0512
Se: 0.3333 0.6667 0.4429
Se: 0.3333 0.6667 0.5322
S: 0.0000 0.0000 0.6348
S: 0.0000 0.0000 0.7160
S: 0.3333 0.6667 0.8227
S: 0.3333 0.6667 0.9039

Most intense lines, 10° ≤ 2θ ≤ 80°, sorted by position:
index	2θ (°)	I/Imax
0 0 5	11.76	1000
1 0 0	31.21	395
0 1 8	36.71	865
1 0 10	39.52	257
1 0 13	44.48	433
1 1 0	55.52	265


10.
Structure and simulated powder X-ray diffraction pattern of Te2Mo3WSe2S4 (a PBE-relaxed structure; CuKα).
Neutral-atom scattering factors, no anomalous dispersion.

Atomic structure:
abc: 3.3052 3.3052 38.9855
angles: 90.00 90.00 120.00
Element x y z (fractional)
Te: 0.0000 0.0000 0.0000
Te: 0.0000 0.0000 0.0980
Mo: 0.0000 0.0000 0.2366
Mo: 0.0000 0.0000 0.8594
Mo: 0.3333 0.6667 0.0490
W: 0.3333 0.6667 0.4241
Se: 0.3333 0.6667 0.8164
Se: 0.3333 0.6667 0.9025
S: 0.0000 0.0000 0.3847
S: 0.0000 0.0000 0.4634
S: 0.3333 0.6667 0.1974
S: 0.3333 0.6667 0.2757

Most intense lines, 10° ≤ 2θ ≤ 80°, sorted by position:
index	2θ (°)	I/Imax
0 0 5	11.35	1000
0 0 6	13.63	162
1 0 0	31.28	396
1 0 8	36.40	677
0 1 13	43.72	436
1 1 0	55.62	244


11.
Structure and simulated powder X-ray diffraction pattern of Te2MoW3Se4S2 (a PBE-relaxed structure; CuKα).
Neutral-atom scattering factors, no anomalous dispersion.

Atomic structure:
abc: 3.3427 3.3427 38.0725
angles: 90.00 90.00 120.00
Element x y z (fractional)
Te: 0.0000 0.0000 0.0000
Te: 0.0000 0.0000 0.1001
Mo: 0.0000 0.0000 0.8621
W: 0.0000 0.0000 0.4864
W: 0.3333 0.6667 0.0501
W: 0.3333 0.6667 0.6743
Se: 0.0000 0.0000 0.6304
Se: 0.0000 0.0000 0.7182
Se: 0.3333 0.6667 0.8184
Se: 0.3333 0.6667 0.9059
S: 0.3333 0.6667 0.4464
S: 0.3333 0.6667 0.5264

Most intense lines, 10° ≤ 2θ ≤ 80°, sorted by position:
index	2θ (°)	I/Imax
0 0 5	11.62	1000
0 0 6	13.96	194
1 0 0	30.91	358
1 0 8	36.32	768
0 1 13	43.98	438
1 1 0	54.95	260


12.
Structure and simulated powder X-ray diffraction pattern of Te2MoW3Se2S4 (a PBE-relaxed structure; CuKα).
Neutral-atom scattering factors, no anomalous dispersion.

Atomic structure:
abc: 3.3086 3.3086 37.6561
angles: 90.00 90.00 120.00
Element x y z (fractional)
Te: 0.0000 0.0000 0.0000
Te: 0.0000 0.0000 0.1022
Mo: 0.3333 0.6667 0.6753
W: 0.0000 0.0000 0.4875
W: 0.0000 0.0000 0.8632
W: 0.3333 0.6667 0.0511
Se: 0.3333 0.6667 0.4427
Se: 0.3333 0.6667 0.5323
S: 0.0000 0.0000 0.6348
S: 0.0000 0.0000 0.7159
S: 0.3333 0.6667 0.8225
S: 0.3333 0.6667 0.9039

Most intense lines, 10° ≤ 2θ ≤ 80°, sorted by position:
index	2θ (°)	I/Imax
0 0 5	11.75	1000
0 0 6	14.11	212
1 0 0	31.23	317
1 0 8	36.72	753
0 1 13	44.47	373
1 1 0	55.55	216